(1)
Computed powder XRD pattern of GaSiNiOs for Cu Kα X-rays, from DFT lattice parameters and positions (PBE).
Neutral-atom scattering factors, no anomalous dispersion.

Cell and atoms:
Cell lengths 4.6036, 4.6036, 4.2151 Å; angles 104.80, 104.80, 37.93 degrees
Atoms (fractional coordinates):
Ga 0.0000 0.0000 0.0000
Si 0.7572 0.7572 0.3946
Ni 0.2568 0.2568 0.8818
Os 0.4874 0.4874 0.4898

Most intense lines, 10 to 90 degrees two-theta, sorted by position:
| Position (°2θ) | I_rel |
| --- | --- |
| 21.19 | 707 |
| 26.11 | 283 |
| 31.75 | 294 |
| 37.15 | 530 |
| 40.60 | 1000 |
| 43.16 | 489 |
| 44.01 | 292 |
| 44.66 | 324 |
| 45.62 | 810 |
| 54.11 | 245 |

=====

(2)
Computed powder XRD pattern of Ac3VN5 for Cu Kα X-rays, from DFT lattice parameters and positions (PBE).
Neutral-atom scattering factors, no anomalous dispersion.

Cell and atoms:
Cell lengths 7.7301, 7.7301, 7.7301 Å; angles 124.92, 124.92, 81.68 degrees
Atoms (fractional coordinates):
Ac 0.1752 0.6752 0.8505
Ac 0.2500 0.2500 0.0000
Ac 0.3248 0.1752 0.5000
Ac 0.6752 0.8248 0.5000
Ac 0.7500 0.7500 0.0000
Ac 0.8248 0.3248 0.1495
V 0.2500 0.7500 0.5000
V 0.7500 0.2500 0.5000
N 0.0000 0.0000 0.0000
N 0.0126 0.7946 0.5000
N 0.2054 0.7054 0.2181
N 0.2946 0.5126 0.5000
N 0.4874 0.9874 0.7819
N 0.5000 0.5000 0.0000
N 0.5126 0.0126 0.2181
N 0.7054 0.4874 0.5000
N 0.7946 0.2946 0.7819
N 0.9874 0.2054 0.5000

Most intense lines, 10 to 90 degrees two-theta, sorted by position:
| Position (°2θ) | I_rel |
| --- | --- |
| 23.26 | 366 |
| 28.95 | 666 |
| 29.28 | 1000 |
| 30.57 | 397 |
| 35.51 | 251 |
| 36.34 | 551 |
| 39.88 | 284 |
| 51.07 | 226 |
| 53.57 | 304 |
| 56.87 | 208 |

=====

(3)
Computed powder XRD pattern of Os5W for Cu Kα X-rays, from DFT lattice parameters and positions (PBE).
Neutral-atom scattering factors, no anomalous dispersion.

Cell and atoms:
Cell lengths 4.3880, 7.3360, 7.3360 Å; angles 21.75, 90.00, 90.00 degrees
Atoms (fractional coordinates):
Os 0.0000 0.0000 0.0000
Os 0.0000 0.3322 0.3322
Os 0.0000 0.6652 0.6652
Os 0.5000 0.1131 0.1131
Os 0.5000 0.7764 0.7764
W 0.5000 0.4431 0.4431

Most intense lines, 10 to 90 degrees two-theta, sorted by position:
| Position (°2θ) | I_rel |
| --- | --- |
| 37.48 | 243 |
| 41.14 | 251 |
| 42.96 | 1000 |
| 56.87 | 148 |
| 67.63 | 176 |
| 76.24 | 189 |
| 82.32 | 208 |
| 83.47 | 52 |
| 83.59 | 99 |
| 89.30 | 30 |